# KCaAl
Simulated XRD peak list, CuKα. Input: DFT lattice parameters and positions (GGA-PBE).
Neutral-atom scattering factors, no anomalous dispersion.

Crystal structure
```
KCaAl
1.0
3.9353 0.0000 0.0000
0.0000 3.9353 0.0000
0.0000 0.0000 14.7862
K Ca Al
2 2 2
Cartesian
0.0000 0.0000 0.0000
1.9677 1.9677 7.3931
0.0000 0.0000 10.8671
1.9677 1.9677 3.4740
0.0000 0.0000 4.9235
1.9677 1.9677 12.3166
```

Top 10 peaks for 10 to 90 degrees two-theta, by angle:
| d/Å | 2θ (°) | intensity |
| --- | --- | --- |
| 7.393 | 11.97 | 13.4 |
| 3.803 | 23.39 | 19.9 |
| 3.697 | 24.07 | 23.5 |
| 3.075 | 29.04 | 100.0 |
| 2.783 | 32.17 | 56.9 |
| 2.364 | 38.06 | 21.7 |
| 2.223 | 40.58 | 20.9 |
| 1.968 | 46.13 | 19.0 |
| 1.861 | 48.94 | 15.8 |
| 1.657 | 55.44 | 27.6 |